No. 1
Structure and calculated PXRD pattern of CaMgSiO4 (a PBE-relaxed structure; Cu Kα).

Cell and atoms:
Cell lengths 9.135, 6.870, 5.241 Å; angles 90.00, 90.00, 90.00 degrees
Fractional coordinates of all 28 atoms:
Ca  0.150  0.250  0.036
Ca  0.350  0.750  0.536
Ca  0.650  0.250  0.464
Ca  0.850  0.750  0.964
Mg  0.000  0.000  0.500
Mg  0.000  0.500  0.500
Mg  0.500  0.000  0.000
Mg  0.500  0.500  0.000
Si  0.183  0.750  0.043
Si  0.317  0.250  0.543
Si  0.683  0.750  0.457
Si  0.817  0.250  0.957
O  0.116  0.750  0.749
O  0.126  0.558  0.199
O  0.126  0.942  0.199
O  0.136  0.250  0.562
O  0.364  0.750  0.062
O  0.374  0.058  0.699
O  0.374  0.442  0.699
O  0.384  0.250  0.249
O  0.616  0.750  0.751
O  0.626  0.558  0.301
O  0.626  0.942  0.301
O  0.636  0.250  0.938
O  0.864  0.750  0.438
O  0.874  0.058  0.801
O  0.874  0.442  0.801
O  0.884  0.250  0.251

Most intense lines, 2θ = 15–90°, most intense first:
- 2θ 32.7, I 100
- 2θ 34.1, I 87
- 2θ 25.9, I 52
- 2θ 41.9, I 37
- 2θ 48.0, I 28
- 2θ 35.6, I 27
- 2θ 53.3, I 26
- 2θ 39.5, I 22
- 2θ 64.8, I 22
- 2θ 60.1, I 21

No. 2
Structure and calculated PXRD pattern of Y5Sn3 (a PBE-relaxed structure; Cu Kα).

Cell and atoms:
Cell lengths 8.984, 8.984, 6.583 Å; angles 90.00, 90.00, 120.00 degrees
Fractional coordinates of all 16 atoms:
Y  0.000  0.240  0.250
Y  0.000  0.760  0.750
Y  0.240  0.000  0.250
Y  0.240  0.240  0.750
Y  0.333  0.667  0.000
Y  0.333  0.667  0.500
Y  0.667  0.333  0.000
Y  0.667  0.333  0.500
Y  0.760  0.000  0.750
Y  0.760  0.760  0.250
Sn  0.000  0.394  0.750
Sn  0.000  0.606  0.250
Sn  0.394  0.000  0.750
Sn  0.394  0.394  0.250
Sn  0.606  0.000  0.250
Sn  0.606  0.606  0.750

Most intense lines, 2θ = 15–90°, most intense first:
- 2θ 33.4, I 100
- 2θ 33.8, I 73
- 2θ 34.6, I 41
- 2θ 52.0, I 28
- 2θ 27.1, I 25
- 2θ 30.4, I 24
- 2θ 66.5, I 21
- 2θ 44.2, I 19
- 2θ 49.1, I 15
- 2θ 58.8, I 12

No. 3
Structure and calculated PXRD pattern of Na3Si2Ge2PO12 (a PBE-relaxed structure; Cu Kα).

Cell and atoms:
Cell lengths 8.699, 8.699, 8.882 Å; angles 120.50, 120.50, 59.87 degrees
Fractional coordinates of all 40 atoms:
Na  0.064  0.936  0.500
Na  0.205  0.665  0.760
Na  0.570  0.810  0.014
Na  0.665  0.205  0.260
Na  0.810  0.570  0.514
Na  0.936  0.064  0.000
Si  0.437  0.649  0.514
Si  0.649  0.437  0.014
Si  0.719  0.944  0.509
Si  0.944  0.719  0.009
Ge  0.040  0.544  0.322
Ge  0.343  0.820  0.201
Ge  0.544  0.040  0.822
Ge  0.820  0.343  0.701
P  0.156  0.222  0.506
P  0.222  0.156  0.006
O  0.052  0.179  0.826
O  0.121  0.760  0.032
O  0.135  0.408  0.501
O  0.179  0.052  0.326
O  0.192  0.323  0.184
O  0.243  0.970  0.010
O  0.250  0.626  0.490
O  0.323  0.192  0.684
O  0.408  0.135  0.001
O  0.422  0.685  0.343
O  0.454  0.837  0.702
O  0.461  0.624  0.028
O  0.539  0.915  0.318
O  0.624  0.461  0.528
O  0.626  0.250  0.990
O  0.685  0.422  0.843
O  0.696  0.958  0.688
O  0.757  0.914  0.995
O  0.760  0.121  0.532
O  0.837  0.454  0.202
O  0.914  0.757  0.495
O  0.915  0.539  0.818
O  0.958  0.696  0.188
O  0.970  0.243  0.510

Most intense lines, 2θ = 15–90°, most intense first:
- 2θ 20.4, I 100
- 2θ 35.8, I 42
- 2θ 31.9, I 29
- 2θ 32.3, I 27
- 2θ 28.8, I 27
- 2θ 32.6, I 25
- 2θ 31.8, I 16
- 2θ 20.0, I 15
- 2θ 23.7, I 12
- 2θ 24.1, I 12

No. 4
Structure and calculated PXRD pattern of Pr4Fe3Si4Ru (a PBE-relaxed structure; Cu Kα).

Cell and atoms:
Cell lengths 4.140, 4.140, 14.151 Å; angles 90.00, 90.00, 90.00 degrees
Fractional coordinates of all 12 atoms:
Pr  0.000  0.500  0.155
Pr  0.000  0.500  0.662
Pr  0.500  0.000  0.338
Pr  0.500  0.000  0.845
Fe  0.000  0.000  0.000
Fe  0.500  0.500  0.000
Fe  0.500  0.500  0.500
Si  0.000  0.500  0.416
Si  0.000  0.500  0.921
Si  0.500  0.000  0.079
Si  0.500  0.000  0.584
Ru  0.000  0.000  0.500

Most intense lines, 2θ = 15–90°, most intense first:
- 2θ 24.9, I 100
- 2θ 40.0, I 83
- 2θ 33.3, I 75
- 2θ 43.7, I 58
- 2θ 33.1, I 57
- 2θ 56.1, I 33
- 2θ 51.0, I 29
- 2θ 30.5, I 27
- 2θ 56.6, I 25
- 2θ 59.4, I 25